# Na2Lu2B2TeO10
Calculated PXRD pattern, copper Kα. Input: a DFT-relaxed cell (PBE, OQMD).

Top 10 peaks for 10° ≤ 2θ ≤ 80°, by intensity:
two_theta, intensity, h k l
14.64, 100, 1 0 0
30.81, 64, 0 3 1
17.24, 43, 1 1 0
27.75, 41, 0 0 2
30.94, 39, 2 1 0
32.78, 38, 1 3 -1
28.21, 27, 1 0 -2
34.90, 23, 2 2 -1
51.03, 21, 0 3 3
29.01, 17, 1 2 1

Atomic structure:
```
Na2Lu2B2TeO10
1.0
6.226 0.000 0.000
0.000 9.757 0.000
-1.553 0.000 6.430
Na Lu B Te O
4 4 4 2 20
direct
0.081 0.111 0.168
0.081 0.389 0.668
0.919 0.611 0.332
0.919 0.889 0.832
0.374 0.666 0.978
0.374 0.834 0.478
0.626 0.166 0.522
0.626 0.334 0.022
0.161 0.101 0.625
0.161 0.399 0.125
0.839 0.601 0.875
0.839 0.899 0.375
0.500 0.000 0.000
0.500 0.500 0.500
0.026 0.672 0.955
0.026 0.828 0.455
0.205 0.066 0.839
0.205 0.434 0.339
0.306 0.061 0.509
0.306 0.439 0.009
0.331 0.617 0.637
0.331 0.883 0.137
0.496 0.154 0.181
0.496 0.346 0.681
0.504 0.654 0.319
0.504 0.846 0.819
0.669 0.117 0.863
0.669 0.383 0.363
0.694 0.561 0.991
0.694 0.939 0.491
0.795 0.566 0.661
0.795 0.934 0.161
0.974 0.172 0.545
0.974 0.328 0.045
```